[1]
This entry pairs a crystal structure of Rb3NaSn with its simulated powder diffractogram. Radiation: Cu Kα. Structure: a GGA-PBE-relaxed structure.
Peak positions follow from Bragg's law for the DFT cell and can differ from measured ones.

Cell and atoms:
```
data_Rb3NaSn
_cell_length_a 9.602
_cell_length_b 7.884
_cell_length_c 14.917
_cell_angle_alpha 90.00
_cell_angle_beta 94.02
_cell_angle_gamma 90.00
_space_group_name_H-M_alt 'P 1 2/c 1'
_space_group_IT_number 13
_space_group_name_Hall '-P 2yc'
loop_
_atom_site_label
_atom_site_fract_x
_atom_site_fract_y
_atom_site_fract_z
Rb1 0.006 0.230 0.117
Rb2 0.237 0.320 0.822
Rb3 0.347 0.115 0.564
Na1 0.418 0.384 0.108
Sn1 0.355 0.153 0.284
```

Principal peaks in the range 2θ = 10–90°, most intense first:
hkl 1 1 -3, 22.60°, rel. 100; hkl 1 0 4, 26.30°, rel. 82; hkl 2 1 1, 22.88°, rel. 67; hkl 1 2 3, 30.82°, rel. 50; hkl 3 0 0, 27.94°, rel. 39; hkl 0 2 3, 28.93°, rel. 38; hkl 0 1 0, 11.22°, rel. 38; hkl 0 1 1, 12.71°, rel. 37; hkl 4 1 3, 44.66°, rel. 35; hkl 2 2 -1, 29.69°, rel. 35; hkl 2 0 -4, 29.35°, rel. 35; hkl 0 2 1, 23.34°, rel. 34



[2]
This entry pairs a crystal structure of RbNaSn4 with its simulated powder diffractogram. Radiation: Cu Kα. Structure: a GGA-PBE-relaxed structure.
Peak positions follow from Bragg's law for the DFT cell and can differ from measured ones.

Cell and atoms:
```
data_RbNaSn4
_cell_length_a 17.466
_cell_length_b 6.426
_cell_length_c 3.278
_cell_angle_alpha 90.00
_cell_angle_beta 90.59
_cell_angle_gamma 90.00
_space_group_name_H-M_alt 'C 1 m 1'
_space_group_IT_number 8
_space_group_name_Hall 'C -2y'
loop_
_atom_site_label
_atom_site_fract_x
_atom_site_fract_y
_atom_site_fract_z
Rb1 0.000 0.000 0.000
Na1 0.197 0.000 0.979
Sn1 0.149 0.500 0.480
Sn2 0.322 0.265 0.486
Sn3 0.468 0.000 0.501
```

Principal peaks in the range 2θ = 10–90°, most intense first:
hkl 1 1 1, 31.06°, rel. 100; hkl 2 2 0, 29.63°, rel. 99; hkl 6 0 0, 30.72°, rel. 81; hkl 4 2 0, 34.66°, rel. 78; hkl 0 0 1, 27.21°, rel. 54; hkl 5 1 0, 29.07°, rel. 53; hkl 2 0 0, 10.13°, rel. 41; hkl 1 1 0, 14.69°, rel. 39; hkl 4 2 -1, 44.47°, rel. 30; hkl 1 3 1, 51.22°, rel. 28; hkl 4 2 1, 44.75°, rel. 27; hkl 8 2 0, 50.51°, rel. 27



[3]
This entry pairs a crystal structure of RbNaSn6 with its simulated powder diffractogram. Radiation: Cu Kα. Structure: a GGA-PBE-relaxed structure.
Peak positions follow from Bragg's law for the DFT cell and can differ from measured ones.

Cell and atoms:
```
data_RbNaSn6
_cell_length_a 5.267
_cell_length_b 7.299
_cell_length_c 6.681
_cell_angle_alpha 90.00
_cell_angle_beta 90.00
_cell_angle_gamma 90.00
_space_group_name_H-M_alt 'P m m 2'
_space_group_IT_number 25
_space_group_name_Hall 'P 2 -2'
loop_
_atom_site_label
_atom_site_fract_x
_atom_site_fract_y
_atom_site_fract_z
Rb1 0.000 0.000 0.000
Na1 0.500 0.500 0.234
Sn1 0.000 0.285 0.475
Sn2 0.000 0.500 0.882
Sn3 0.500 0.000 0.422
Sn4 0.500 0.282 0.759
```

Principal peaks in the range 2θ = 10–90°, most intense first:
hkl 1 2 1, 32.72°, rel. 100; hkl 2 0 0, 34.05°, rel. 51; hkl 1 0 2, 31.72°, rel. 35; hkl 0 0 1, 13.25°, rel. 31; hkl 0 0 3, 40.44°, rel. 25; hkl 3 2 1, 60.08°, rel. 24; hkl 0 2 1, 27.86°, rel. 19; hkl 0 1 1, 18.00°, rel. 13; hkl 1 1 1, 24.74°, rel. 12; hkl 0 0 2, 26.69°, rel. 11; hkl 2 2 1, 44.54°, rel. 11; hkl 3 0 2, 59.45°, rel. 10



[4]
This entry pairs a crystal structure of RbNa2Tl2Sn2 with its simulated powder diffractogram. Radiation: Cu Kα. Structure: a GGA-PBE-relaxed structure.
Peak positions follow from Bragg's law for the DFT cell and can differ from measured ones.

Cell and atoms:
```
data_RbNa2Tl2Sn2
_cell_length_a 8.964
_cell_length_b 5.179
_cell_length_c 10.557
_cell_angle_alpha 90.00
_cell_angle_beta 106.51
_cell_angle_gamma 90.00
_space_group_name_H-M_alt 'C 1 2/m 1'
_space_group_IT_number 12
_space_group_name_Hall '-C 2y'
loop_
_atom_site_label
_atom_site_fract_x
_atom_site_fract_y
_atom_site_fract_z
Rb1 0.000 0.000 0.000
Na1 0.146 0.000 0.437
Tl1 0.241 0.500 0.223
Sn1 0.051 0.500 0.654
```

Principal peaks in the range 2θ = 10–90°, most intense first:
hkl 1 1 1, 23.04°, rel. 100; hkl 0 2 0, 34.65°, rel. 87; hkl 1 1 2, 28.63°, rel. 47; hkl 1 1 3, 35.71°, rel. 39; hkl 0 0 2, 17.52°, rel. 29; hkl 2 0 3, 38.29°, rel. 28; hkl 3 1 -3, 39.09°, rel. 24; hkl 4 0 0, 42.03°, rel. 21; hkl 4 2 0, 55.57°, rel. 19; hkl 6 0 -2, 62.11°, rel. 16; hkl 1 3 3, 62.80°, rel. 15; hkl 4 0 2, 50.61°, rel. 15